Diffraction record for Co6PtO8. The XRD peak list is computed, not measured: it uses the PBE+U geometry in OQMD and Cu Kα X-rays.

Structural model:
a b c (Å): 6.041 6.041 6.041
angles (deg): 60.00 60.00 60.00
Fractional positions:
Co (0.000, 0.000, 0.500)
Co (0.000, 0.500, 0.000)
Co (0.000, 0.500, 0.500)
Co (0.500, 0.000, 0.000)
Co (0.500, 0.000, 0.500)
Co (0.500, 0.500, 0.000)
Pt (0.000, 0.000, 0.000)
O (0.237, 0.237, 0.763)
O (0.237, 0.763, 0.237)
O (0.237, 0.763, 0.763)
O (0.250, 0.250, 0.250)
O (0.750, 0.750, 0.750)
O (0.763, 0.237, 0.237)
O (0.763, 0.237, 0.763)
O (0.763, 0.763, 0.237)

Principal peaks in the range 2θ from 15° to 90°, by angle:
2θ/deg  I/Imax
17.99  99
34.83  52
36.43  81
42.32  100
61.39  60
73.54  33